Entry 1:
# LiGa2Pb2
Simulated X-ray powder pattern, Cu Kα (weighted mean of Kα1 and Kα2). Input: a cell relaxed with PBE.

Principal peaks in the range 10° ≤ 2θ ≤ 80°, sorted by position:
(0 0 2), 2θ = 15.8°, I 77; (1 1 0), 2θ = 25.2°, I 24; (1 1 2), 2θ = 29.9°, I 100; (2 0 0), 2θ = 36.0°, I 48; (2 0 2), 2θ = 39.6°, I 34; (1 1 4), 2θ = 41.2°, I 67; (0 0 6), 2θ = 48.9°, I 18; (3 1 2), 2θ = 61.0°, I 27; (2 0 6), 2θ = 62.2°, I 20; (3 1 4), 2θ = 68.3°, I 29

Structural model:
a = 4.989 Å, b = 4.989 Å, c = 11.187 Å
α = 90.00°, β = 90.00°, γ = 90.00°
Positions (direct):
Li (0.000, 0.000, 0.000)
Li (0.500, 0.500, 0.500)
Ga (0.000, 0.000, 0.390)
Ga (0.000, 0.000, 0.610)
Ga (0.500, 0.500, 0.110)
Ga (0.500, 0.500, 0.890)
Pb (0.000, 0.500, 0.250)
Pb (0.000, 0.500, 0.750)
Pb (0.500, 0.000, 0.250)
Pb (0.500, 0.000, 0.750)

=====

Entry 2:
# NaSr3Pd
Simulated X-ray powder pattern, Cu Kα (weighted mean of Kα1 and Kα2). Input: a cell relaxed with PBE.

Principal peaks in the range 10° ≤ 2θ ≤ 80°, sorted by position:
(1 0 0), 2θ = 15.1°, I 74; (0 1 -2), 2θ = 26.4°, I 100; (2 1 1), 2θ = 27.9°, I 64; (0 2 2), 2θ = 28.9°, I 59; (1 1 3), 2θ = 29.0°, I 60; (1 2 -1), 2θ = 30.2°, I 53; (1 2 3), 2θ = 32.2°, I 53; (0 2 3), 2θ = 34.5°, I 59; (2 2 -1), 2θ = 36.8°, I 46; (0 3 0), 2θ = 40.7°, I 47

Structural model:
a = 6.440 Å, b = 7.516 Å, c = 9.639 Å
α = 71.76°, β = 78.17°, γ = 66.15°
Positions (direct):
Na (0.091, 0.244, 0.023)
Na (0.909, 0.756, 0.977)
Sr (0.039, 0.674, 0.598)
Sr (0.379, 0.962, 0.715)
Sr (0.383, 0.663, 0.202)
Sr (0.617, 0.337, 0.798)
Sr (0.621, 0.038, 0.285)
Sr (0.961, 0.326, 0.402)
Pd (0.444, 0.334, 0.490)
Pd (0.556, 0.666, 0.510)

=====

Entry 3:
# Li3Mg4Ga
Simulated X-ray powder pattern, Cu Kα (weighted mean of Kα1 and Kα2). Input: a cell relaxed with PBE.

Principal peaks in the range 10° ≤ 2θ ≤ 80°, sorted by position:
(4 0 0), 2θ = 14.6°, I 38; (1 1 0), 2θ = 20.2°, I 100; (4 0 -1), 2θ = 30.3°, I 25; (3 1 -1), 2θ = 35.5°, I 41; (5 1 -1), 2θ = 37.8°, I 22; (6 0 1), 2θ = 38.4°, I 18; (9 1 0), 2θ = 39.0°, I 30; (0 2 0), 2θ = 40.4°, I 22; (5 1 1), 2θ = 41.4°, I 21; (7 1 -1), 2θ = 41.5°, I 20

Structural model:
a = 24.494 Å, b = 4.470 Å, c = 3.165 Å
α = 90.00°, β = 97.22°, γ = 90.00°
Positions (direct):
Li (0.000, 0.000, 0.000)
Li (0.152, 0.000, 0.650)
Li (0.348, 0.500, 0.350)
Li (0.500, 0.500, 0.000)
Li (0.652, 0.500, 0.650)
Li (0.848, 0.000, 0.350)
Mg (0.092, 0.500, 0.089)
Mg (0.217, 0.500, 0.218)
Mg (0.283, 0.000, 0.782)
Mg (0.408, 0.000, 0.911)
Mg (0.592, 0.000, 0.089)
Mg (0.717, 0.000, 0.218)
Mg (0.783, 0.500, 0.782)
Mg (0.908, 0.500, 0.911)
Ga (0.000, 0.500, 0.500)
Ga (0.500, 0.000, 0.500)